1.
Structure and theoretical X-ray diffraction stick pattern of TbPd (the PBE geometry in the Materials Project; CuKα).
Kinematic intensities with the Lorentz-polarization factor, no thermal factor.

Largest 6 diffraction maxima, most intense first, 10 to 90 degrees two-theta:
2θ 36.0, rel. 100
2θ 32.0, rel. 88
2θ 39.9, rel. 83
2θ 34.8, rel. 66
2θ 38.4, rel. 62
2θ 28.0, rel. 44

Crystal structure
Cell lengths 6.9637, 4.6855, 5.5585 Å; angles 90.00, 90.00, 90.00 degrees
Space group Pnma (No. 62)
Asymmetric unit:
Tb1 0.1822 0.2500 0.1397
Pd1 0.0438 0.2500 0.6505


2.
Structure and theoretical X-ray diffraction stick pattern of HoBi (the PBE geometry in the Materials Project; CuKα).
Kinematic intensities with the Lorentz-polarization factor, no thermal factor.

Largest 6 diffraction maxima, most intense first, 10 to 90 degrees two-theta:
2θ 32.6, rel. 100
2θ 58.2, rel. 39
2θ 46.8, rel. 19
2θ 77.8, rel. 17
2θ 68.3, rel. 12
2θ 86.9, rel. 5

Crystal structure
Cell lengths 3.8830, 3.8830, 3.8830 Å; angles 90.00, 90.00, 90.00 degrees
Space group Pm-3m (No. 221)
Asymmetric unit:
Ho1 0.0000 0.0000 0.0000
Bi1 0.5000 0.5000 0.5000


3.
Structure and theoretical X-ray diffraction stick pattern of Rb2Ge2O5 (the PBE geometry in the Materials Project; CuKα).
Kinematic intensities with the Lorentz-polarization factor, no thermal factor.

Largest 6 diffraction maxima, most intense first, 10 to 90 degrees two-theta:
2θ 26.6, rel. 100
2θ 26.7, rel. 79
2θ 28.6, rel. 39
2θ 28.4, rel. 32
2θ 31.4, rel. 28
2θ 11.6, rel. 26

Crystal structure
Cell lengths 10.9829, 8.8197, 15.2602 Å; angles 90.00, 90.30, 90.00 degrees
Space group C2/c (No. 15)
Asymmetric unit:
Rb1 0.0738 0.1306 0.1036
Rb2 0.1742 0.3951 0.5826
Ge1 0.1165 0.1785 0.8211
Ge2 0.1317 0.4210 0.3051
O1 0.0000 0.1015 0.7500
O2 0.0000 0.3441 0.2500
O3 0.1021 0.1106 0.9252
O4 0.1125 0.3788 0.8097
O5 0.1526 0.3371 0.4046
O6 0.2413 0.3905 0.2203


4.
Structure and theoretical X-ray diffraction stick pattern of CeB2C (the PBE geometry in the Materials Project; CuKα).
Kinematic intensities with the Lorentz-polarization factor, no thermal factor.

Largest 6 diffraction maxima, most intense first, 10 to 90 degrees two-theta:
2θ 36.2, rel. 100
2θ 27.0, rel. 86
2θ 23.7, rel. 25
2θ 53.9, rel. 25
2θ 47.6, rel. 24
2θ 61.3, rel. 18

Crystal structure
Cell lengths 6.6126, 6.6126, 11.2756 Å; angles 90.00, 90.00, 120.00 degrees
Space group R-3m (No. 166, hexagonal axes)
Asymmetric unit:
Ce1 0.0000 0.0000 0.0000
Ce2 0.0000 0.0000 0.3136
B1 0.0000 0.2749 0.5000
C1 0.0000 0.5000 0.5000